For ZnCoNiAg, a crystal structure in OQMD, relaxed with PBE gives the computed XRD peak list in this record (Cu Kα (weighted mean of Kα1 and Kα2)).
Kinematic intensities with the Lorentz-polarization factor, no thermal factor.

Structure:
Unit cell a=4.221 b=4.221 c=4.221 alpha=60.00 beta=60.00 gamma=60.00
Fractional coordinates of all 4 atoms:
Zn1 0.000 0.000 0.000
Co1 0.250 0.250 0.250
Ni1 0.750 0.750 0.750
Ag1 0.500 0.500 0.500

Main lines, low angle first (10° ≤ 2θ ≤ 80°):
d 3.447, I 5; d 2.985, I 4; d 2.111, I 100; d 1.800, I 2; d 1.723, I 1; d 1.492, I 15; d 1.370, I 1; d 1.335, I 2; d 1.219, I 30